For Mn3BrCl5, a DFT-relaxed cell (GGA-PBE, Alexandria) gives the theoretical powder X-ray diffraction pattern in this record (λ = 1.5418 Å (Cu Kα)).
Lines closer than 0.1° are merged.

Cell and atoms:
```
data_Mn3BrCl5
_space_group_name_H-M_alt 'C m m m'
_space_group_IT_number 65
_space_group_name_Hall '-C 2 2'
_cell_length_a 8.6218
_cell_length_b 26.4816
_cell_length_c 3.7813
_cell_angle_alpha 90.00
_cell_angle_beta 90.00
_cell_angle_gamma 90.00
loop_
_atom_site_label
_atom_site_fract_x
_atom_site_fract_y
_atom_site_fract_z
_atom_site_occupancy
Mn1 0.0000 0.0000 0.0000 1
Mn2 0.0000 0.1642 0.5000 1
Mn3 0.0000 0.3277 0.0000 1
Mn4 0.0000 0.5000 0.5000 1
Br1 0.0000 0.3974 0.5000 1
Cl1 0.0000 0.0641 0.5000 1
Cl2 0.0000 0.2662 0.5000 1
Cl3 0.1924 0.1676 0.0000 1
Cl4 0.1954 0.5000 0.0000 1
```

Principal peaks in the range 2θ = 5–70°, sorted by position:
20.12 deg, I = 48
20.60 deg, I = 100
31.15 deg, I = 61
31.47 deg, I = 65
32.14 deg, I = 33
40.22 deg, I = 78
40.74 deg, I = 48
41.91 deg, I = 30
48.13 deg, I = 30
50.53 deg, I = 84